Diffraction record for LiCuRu2Rh2O8. The powder X-ray diffraction pattern is computed, not measured: it uses a DFT-relaxed cell (PBE, Alexandria) and Cu Kα (weighted mean of Kα1 and Kα2).
No peak broadening, texture or thermal motion is included.

Main lines, by angle (2θ = 10–80°):
2θ/deg  d (Å)  intensity
17.4  5.106  100
18.6  4.780  85
33.9  2.644  41
34.4  2.603  81
35.2  2.553  49
36.4  2.471  65
43.3  2.089  62
60.6  1.529  70

Crystal structure
Cell lengths 6.144, 6.144, 6.144 Å; angles 125.27, 119.31, 86.16 degrees
Element x y z (fractional)
Li1 0.000 0.000 0.000
Cu1 0.750 0.250 0.500
Ru1 0.370 0.093 0.723
Ru2 0.370 0.647 0.277
Rh1 0.372 0.620 0.753
Rh2 0.867 0.620 0.247
O1 0.098 0.850 0.248
O2 0.141 0.408 0.267
O3 0.141 0.875 0.733
O4 0.167 0.388 0.780
O5 0.597 0.356 0.758
O6 0.597 0.839 0.242
O7 0.602 0.850 0.752
O8 0.608 0.388 0.220